Starting from a cell relaxed with GGA-PBE, the PXRD pattern of Na8Cd6Ag was simulated for λ = 1.5418 Å (Cu Kα).
Neutral-atom scattering factors, no anomalous dispersion.

Peak list (10 most intense, 10° ≤ 2θ ≤ 90°, low angle first)
2θ/deg, intensity
16.2, 77
19.1, 13
32.7, 26
33.4, 51
37.3, 100
47.4, 31
59.7, 14
61.4, 18
62.3, 12
69.7, 15

Structural model:
a b c (Å): 9.2908 9.2908 16.4543
angles (deg): 90.00 90.00 120.00
Space group R-3m (No. 166, hexagonal axes)
Unique sites:
Na 0.0000 0.0000 0.1180 x6
Na 0.0902 0.5451 0.3355 x18
Cd 0.0000 0.3263 0.5000 x18
Ag 0.0000 0.0000 0.5000 x3



Starting from a cell relaxed with GGA-PBE, the PXRD pattern of Na12CdAg2 was simulated for λ = 1.5418 Å (Cu Kα).
Neutral-atom scattering factors, no anomalous dispersion.

Peak list (10 most intense, 10° ≤ 2θ ≤ 90°, low angle first)
2θ/deg, intensity
10.5, 29
19.1, 48
19.4, 63
26.1, 43
28.6, 34
31.4, 24
32.5, 44
34.6, 100
38.8, 40
47.4, 26

Structural model:
a b c (Å): 6.5665 6.5665 25.2767
angles (deg): 90.00 90.00 90.00
Space group P4/nbm (No. 125, origin choice 2)
Unique sites:
Na 0.0000 0.0000 0.0870 x8
Na 0.0679 0.5679 0.4356 x8
Na 0.2500 0.2500 0.1949 x4
Na 0.2500 0.2500 0.3265 x4
Cd 0.2500 0.7500 0.0000 x2
Ag 0.2500 0.7500 0.1720 x4



Starting from a cell relaxed with GGA-PBE, the PXRD pattern of Na4Cd4Ag was simulated for λ = 1.5418 Å (Cu Kα).
Neutral-atom scattering factors, no anomalous dispersion.

Peak list (10 most intense, 10° ≤ 2θ ≤ 90°, low angle first)
2θ/deg, intensity
12.8, 100
21.1, 22
24.8, 79
30.0, 27
33.6, 92
34.3, 60
35.9, 23
39.1, 54
46.2, 33
50.1, 24

Structural model:
a b c (Å): 5.9541 5.9541 13.7843
angles (deg): 90.00 90.00 90.00
Space group I-42m (No. 121)
Unique sites:
Na 0.2086 0.2086 0.1786 x8
Cd 0.1909 0.1909 0.4229 x8
Ag 0.0000 0.0000 0.0000 x2